Simulated X-ray powder pattern of SnHg4H2 for Cu Kα, from a GGA-PBE-relaxed structure.

Main lines, by intensity (2θ from 10° to 90°):
hkl 1 1 1, d = 2.788 Å, I 1000
hkl 1 5 0, d = 2.805 Å, I 980
hkl 2 0 0, d = 2.855 Å, I 603
hkl 0 6 1, d = 2.073 Å, I 499
hkl 2 6 1, d = 1.677 Å, I 359
hkl 1 5 2, d = 1.409 Å, I 250
hkl 0 2 1, d = 3.022 Å, I 216
hkl 3 1 1, d = 1.635 Å, I 209
hkl 3 5 0, d = 1.638 Å, I 204
hkl 1 11 1, d = 1.300 Å, I 177

Cell and atoms:
```
SnHg4H2
1.0
5.7094 0.0000 0.0000
0.0000 16.1014 0.0000
0.0000 0.0000 3.2602
Sn Hg H
2 8 4
direct
0.0000 0.0000 0.0000
0.5000 0.5000 0.0000
0.0000 0.1902 0.0000
0.0000 0.4155 0.5000
0.0000 0.5845 0.5000
0.0000 0.8098 0.0000
0.5000 0.0845 0.5000
0.5000 0.3098 0.0000
0.5000 0.6902 0.0000
0.5000 0.9155 0.5000
0.0000 0.3073 0.5000
0.0000 0.6927 0.5000
0.5000 0.1927 0.5000
0.5000 0.8073 0.5000
```